For Pr7Dy4Th, a structure optimized by DFT (GGA-PBE) gives the theoretical XRD peak list in this record (Cu Kα, 1.54184 Å).
Kinematic intensities with the Lorentz-polarization factor, no thermal factor.

Crystal structure
a = 6.3281 Å, b = 7.2936 Å, c = 9.6479 Å
α = 101.12°, β = 109.07°, γ = 90.02°
Space group P-1 (No. 2)
Inequivalent atoms, fractional coordinates:
Pr  0.0000  0.0000  0.0000 x1
Pr  0.1648  0.9155  0.6632 x2
Pr  0.3287  0.3372  0.3321 x2
Pr  0.4989  0.7424  0.0010 x2
Dy  0.1618  0.4164  0.6685 x2
Dy  0.3319  0.8292  0.3315 x2
Th  0.0000  0.5000  0.0000 x1

Principal peaks in the range 2θ from 10° to 90°, in order of rising 2θ:
2theta, d_spacing, I_rel, (hkl)
30.0, 2.979, 100, 1 2 0
34.7, 2.582, 34, 2 0 1
34.9, 2.574, 17, -1 2 2
50.0, 1.825, 24, 3 2 -2
50.1, 1.821, 12, 1 2 3
59.3, 1.558, 18, 4 0 -1
59.4, 1.555, 18, 3 2 1
59.6, 1.552, 7, -1 2 5